For K2PuPaO8, a DFT-relaxed cell (PBE, Alexandria) gives the computed powder diffractogram in this record (Cu Ka).

Principal peaks in the range 5° ≤ 2θ ≤ 70°, sorted by position:
index  2θ (°)  intensity
0 0 1  15.42  100.0
1 0 0  15.97  90.8
1 0 -1  21.86  89.8
1 0 1  22.66  70.3
0 2 1  29.63  63.5
1 2 0  29.93  62.0
1 2 -1  33.56  39.4
1 2 -2  43.28  32.3

```
data_K2PuPaO8
_space_group_name_H-M_alt 'P 1'
_space_group_IT_number 1
_cell_length_a 5.5548
_cell_length_b 7.0831
_cell_length_c 5.7512
_cell_angle_alpha 90.00
_cell_angle_beta 92.05
_cell_angle_gamma 90.00
loop_
_space_group_symop_operation_xyz
'x,y,z'
loop_
_atom_site_label
_atom_site_type_symbol
_atom_site_fract_x
_atom_site_fract_y
_atom_site_fract_z
_atom_site_occupancy
K1 K 0.0000 0.2464 0.0000 1
K2 K 0.0000 0.7536 0.0000 1
Pu1 Pu 0.5000 0.0000 0.5000 1
Pa1 Pa 0.5000 0.5000 0.5000 1
O1 O 0.2528 0.5000 0.2559 1
O2 O 0.2631 0.0000 0.2675 1
O3 O 0.3406 0.2284 0.6537 1
O4 O 0.3406 0.7716 0.6537 1
O5 O 0.6594 0.2284 0.3463 1
O6 O 0.6594 0.7716 0.3463 1
O7 O 0.7369 0.0000 0.7325 1
O8 O 0.7472 0.5000 0.7441 1
```